1.
Structure and computed PXRD pattern of Y2Ho3Er8 (a structure optimized by DFT (GGA-PBE); λ = 1.5418 Å (Cu Kα)).
Lines closer than 0.1° are merged.

Structural model:
Lattice parameters (Å, degrees): 11.894 11.894 11.894 153.01 147.09 43.07
Fractional coordinates of all 13 atoms:
Y 0.223 0.223 0.000
Y 0.777 0.777 0.000
Ho 0.236 0.500 0.736
Ho 0.500 0.000 0.500
Ho 0.764 0.500 0.264
Er 0.075 0.075 0.000
Er 0.087 0.349 0.739
Er 0.318 0.818 0.500
Er 0.390 0.651 0.739
Er 0.610 0.349 0.261
Er 0.682 0.182 0.500
Er 0.913 0.651 0.261
Er 0.925 0.925 0.000

Peak list (10 most intense, 10° ≤ 2θ ≤ 90°, by intensity)
- 2θ 31.31, rel. 100
- 2θ 32.25, rel. 48
- 2θ 32.02, rel. 42
- 2θ 32.60, rel. 41
- 2θ 24.10, rel. 34
- 2θ 40.66, rel. 18
- 2θ 56.92, rel. 17
- 2θ 37.24, rel. 16
- 2θ 49.20, rel. 14
- 2θ 63.48, rel. 13

2.
Structure and computed PXRD pattern of Sm4Dy5Y (a structure optimized by DFT (GGA-PBE); λ = 1.5418 Å (Cu Kα)).
Lines closer than 0.1° are merged.

Structural model:
Lattice parameters (Å, degrees): 8.097 8.097 8.097 97.76 97.76 136.89
Fractional coordinates of all 10 atoms:
Sm 0.000 0.324 0.324
Sm 0.000 0.676 0.676
Sm 0.324 0.000 0.324
Sm 0.676 0.000 0.676
Dy 0.315 0.315 0.621
Dy 0.315 0.693 0.000
Dy 0.693 0.315 0.000
Dy 0.693 0.693 0.379
Dy 0.762 0.762 0.000
Y 0.235 0.235 0.000

Peak list (10 most intense, 10° ≤ 2θ ≤ 90°, by intensity)
- 2θ 29.30, rel. 100
- 2θ 35.77, rel. 39
- 2θ 60.34, rel. 17
- 2θ 52.89, rel. 17
- 2θ 30.04, rel. 16
- 2θ 34.54, rel. 16
- 2θ 47.39, rel. 14
- 2θ 51.49, rel. 11
- 2θ 32.36, rel. 10
- 2θ 59.38, rel. 10